Starting from a DFT-relaxed cell (PBE+U, the Materials Project), the PXRD pattern of Li4NiB2O6 was computed for a wavelength of 1.5418 Å.

The 10 most intense peaks (5° ≤ 2θ ≤ 70°), by angle:
2θ/deg, d (Å), intensity, (hkl)
14.69, 6.029, 100.0, 0 1 1
29.64, 3.014, 36.0, 0 2 2
29.74, 3.004, 24.8, 2 0 -2
30.81, 2.902, 36.7, 0 3 1
31.27, 2.861, 46.5, 2 1 0
35.50, 2.529, 46.8, 2 2 0
45.09, 2.011, 20.4, 0 3 3
46.46, 1.955, 27.8, 2 3 1
55.42, 1.658, 24.0, 2 1 3
56.68, 1.624, 25.7, 4 0 -2

Structural model:
```
52
Lattice="6.499 0.000 0.000 0.000 9.364 0.000 -3.250 0.000 7.879" Properties=species:S:1:pos:R:3 pbc="T T T"
Li -0.814 0.000 1.975
Li -2.439 0.759 5.915
Li 4.063 4.682 5.905
Li 5.688 5.441 1.964
Li -0.811 3.275 4.584
Li 0.814 6.846 0.642
Li -0.813 2.164 7.237
Li 0.811 7.957 3.295
Li 2.437 0.000 1.975
Li 0.812 0.758 5.915
Li 0.813 4.682 5.904
Li 2.438 5.440 1.964
Li 2.439 3.275 4.584
Li 4.063 6.846 0.642
Li 2.435 2.164 7.237
Li 4.060 7.957 3.295
Ni 0.812 2.717 1.972
Ni -0.812 7.403 5.905
Ni 4.062 2.721 1.974
Ni 2.437 7.399 5.908
B -0.814 0.887 4.048
B 0.811 9.234 0.108
B -0.811 4.552 7.771
B 0.814 5.568 3.831
B 2.436 0.886 4.048
B 4.061 9.234 0.108
B 2.439 4.552 7.771
B 4.064 5.568 3.831
O -0.814 1.702 2.873
O -2.439 8.419 6.811
O -2.439 1.253 7.870
O -0.814 8.868 3.930
O -0.813 1.487 5.270
O 0.812 8.633 1.329
O -0.812 3.951 6.550
O 0.813 6.169 2.610
O 0.814 4.186 3.950
O 2.439 5.934 0.011
O 2.439 3.736 1.068
O 0.813 6.384 5.007
O 2.436 1.702 2.872
O 0.811 8.418 6.811
O 0.811 1.252 7.868
O 2.436 8.868 3.930
O 2.437 1.487 5.269
O 4.062 8.633 1.329
O 2.438 3.951 6.550
O 4.063 6.169 2.610
O 4.064 4.186 3.949
O 5.689 5.935 0.009
O 5.689 3.737 1.068
O 4.063 6.384 5.007
```

Starting from a DFT-relaxed cell (PBE+U, the Materials Project), the PXRD pattern of RbLi2Ni2B3O9 was computed for a wavelength of 1.5418 Å.

The 10 most intense peaks (5° ≤ 2θ ≤ 70°), by angle:
2θ/deg, d (Å), intensity, (hkl)
19.87, 4.468, 34.0, 1 0 2
23.52, 3.782, 84.0, 1 1 -1
27.34, 3.262, 100.0, 0 1 3
30.52, 2.929, 34.9, 1 1 -3
30.96, 2.888, 81.4, 2 0 -2
31.08, 2.877, 35.0, 1 1 3
31.70, 2.823, 42.9, 2 0 2
35.89, 2.502, 31.8, 0 2 0
36.33, 2.473, 30.9, 1 1 4
58.48, 1.578, 26.0, 3 1 -5

Structural model:
```
34
Lattice="6.371 0.000 0.000 0.000 5.004 0.000 -0.373 0.000 12.901" Properties=species:S:1:pos:R:3 pbc="T T T"
Rb -0.093 1.048 3.225
Rb -0.279 3.956 9.676
Li 3.024 0.866 4.741
Li 2.837 4.138 11.192
Li 3.161 0.866 1.710
Li 2.975 4.138 8.160
Ni 1.265 1.579 7.297
Ni 1.452 3.425 0.846
Ni 4.546 1.579 12.055
Ni 4.733 3.425 5.604
B 0.875 0.915 12.371
B 1.061 4.090 5.920
B 2.906 1.678 9.676
B 3.092 3.326 3.225
B 4.937 0.915 6.981
B 5.123 4.090 0.530
O -0.059 1.484 11.525
O 0.127 3.521 5.074
O 1.370 0.434 5.803
O 1.183 4.571 12.254
O 1.898 1.661 0.432
O 1.711 3.343 6.882
O 2.320 0.903 8.659
O 2.506 4.101 2.209
O 3.092 1.989 3.225
O 2.906 3.015 9.676
O 3.492 0.903 10.692
O 3.678 4.101 4.242
O 4.287 1.661 6.019
O 4.100 3.343 12.469
O 4.815 0.434 0.647
O 4.629 4.571 7.098
O 5.871 1.484 7.827
O 6.058 3.521 1.376
```